No. 1
Computed powder XRD pattern
Compound: Ho2CdTe4
Radiation: Cu Ka
Structure: a crystal structure in Alexandria, relaxed with PBE
Neutral-atom scattering factors, no anomalous dispersion.

Crystal structure
Unit cell a=12.6122 b=12.6122 c=12.6122 alpha=90.00 beta=90.00 gamma=90.00
Space group Fd-3m (No. 227, origin choice 2)
Unique sites:
Ho1 0.0000 0.0000 0.0000 [16 per cell]
Cd1 0.1250 0.1250 0.6250 [8 per cell]
Te1 0.0063 0.0063 0.2437 [32 per cell]

Principal peaks in the range 10° ≤ 2θ ≤ 90°, low angle first:
2theta, I_rel, index
23.4, 54.0, 3 1 1
28.3, 75.1, 4 0 0
37.0, 31.8, 5 1 1
40.5, 100.0, 4 4 0
66.3, 25.0, 8 4 0
73.6, 32.0, 8 4 4

No. 2
Computed powder XRD pattern
Compound: PrSmI3
Radiation: Cu Ka
Structure: a crystal structure in Alexandria, relaxed with PBE
Neutral-atom scattering factors, no anomalous dispersion.

Crystal structure
Unit cell a=20.2929 b=4.2477 c=11.7617 alpha=90.00 beta=111.69 gamma=90.00
Space group C2/m (No. 12)
Unique sites:
Pr1 0.0815 0.0000 0.2507 [4 per cell]
Sm1 0.0770 0.5000 0.9675 [4 per cell]
I1 0.0767 0.0000 0.7617 [4 per cell]
I2 0.1376 0.5000 0.4655 [4 per cell]
I3 0.1960 0.0000 0.1280 [4 per cell]

Principal peaks in the range 10° ≤ 2θ ≤ 90°, low angle first:
2theta, I_rel, index
18.8, 23.4, 4 0 0
25.9, 21.3, 1 1 -2
28.1, 100.0, 1 1 2
31.4, 20.4, 5 1 -2
37.8, 20.5, 7 1 -2
39.6, 27.2, 7 1 -3

Repeat the first record exactly.
Computed powder XRD pattern
Compound: Ho2CdTe4
Radiation: Cu Ka
Structure: a crystal structure in Alexandria, relaxed with PBE
Neutral-atom scattering factors, no anomalous dispersion.

Crystal structure
Unit cell a=12.6122 b=12.6122 c=12.6122 alpha=90.00 beta=90.00 gamma=90.00
Space group Fd-3m (No. 227, origin choice 2)
Unique sites:
Ho1 0.0000 0.0000 0.0000 [16 per cell]
Cd1 0.1250 0.1250 0.6250 [8 per cell]
Te1 0.0063 0.0063 0.2437 [32 per cell]

Principal peaks in the range 10° ≤ 2θ ≤ 90°, low angle first:
2theta, I_rel, index
23.4, 54.0, 3 1 1
28.3, 75.1, 4 0 0
37.0, 31.8, 5 1 1
40.5, 100.0, 4 4 0
66.3, 25.0, 8 4 0
73.6, 32.0, 8 4 4